# YbGa2H6
Computed X-ray powder pattern, CuKα. Input: a crystal structure in Alexandria, relaxed with PBE.

```
YbGa2H6
1.0
-1.8887 3.3546 3.8627
1.8887 -3.3546 3.8627
1.8887 3.3546 -3.8627
Yb Ga H
1 2 6
Direct
0.0000 0.0000 0.0000
0.3315 0.8315 0.5000
0.6685 0.1685 0.5000
0.2619 0.3914 0.6533
0.2619 0.6086 0.8705
0.2845 0.2845 0.0000
0.7155 0.7155 0.0000
0.7381 0.3914 0.1295
0.7381 0.6086 0.3467
```

Principal peaks in the range 2θ = 10–90°, in order of rising 2θ:
d [Å], Rel. int.
5.066, 43
3.393, 100
3.355, 86
2.505, 96
2.404, 72
2.386, 84